This entry pairs a crystal structure of AcVIO4 with its theoretical X-ray powder pattern. Radiation: Cu Kα. Structure: a DFT-relaxed cell (PBE+U, Alexandria).

The 8 most intense peaks (15 to 90 degrees two-theta), low angle first:
Position (°2θ)  Rel. int.  (hkl)
16.22  50  2 0 -1
26.16  100  3 1 0
27.51  55  0 2 0
28.15  42  0 0 2
32.07  63  3 1 -2
39.76  51  0 2 2
44.68  26  3 1 2
47.87  29  3 3 0

Atomic structure:
```
data_AcVIO4
_chemical_formula_sum 'Ac4 V4 I4 O16'
_symmetry_space_group_name_H-M 'C 1 2/m 1'
_symmetry_Int_Tables_number 12
_symmetry_space_group_name_Hall '-C 2y'
_cell_length_a 12.8942
_cell_length_b 6.4838
_cell_length_c 6.8078
_cell_angle_alpha 90.00
_cell_angle_beta 111.36
_cell_angle_gamma 90.00
loop_
_atom_site_label
_atom_site_type_symbol
_atom_site_fract_x
_atom_site_fract_y
_atom_site_fract_z
Ac1 Ac 0.1748 0.0000 0.2736
V1 V 0.1598 0.0000 0.7603
I1 I 0.0359 0.5000 0.2131
O1 O 0.0414 0.0000 0.8273
O2 O 0.1740 0.2106 0.6058
O3 O 0.2361 0.5000 0.9982
```